Theoretical PXRD pattern
Compound: LiVPO5
Radiation: CuKα
Structure: a GGA+U-relaxed structure
Lines closer than 0.1° are merged.

Crystal structure
```
LiVPO5
1.0
7.7619 0.0000 0.0000
0.0000 5.9923 0.0000
0.0000 0.0000 7.7923
Li V P O
4 4 4 20
direct
0.1325 0.2500 0.1558
0.3675 0.7500 0.6558
0.6325 0.2500 0.3442
0.8675 0.7500 0.8442
0.0000 0.0000 0.5000
0.0000 0.5000 0.5000
0.5000 0.0000 0.0000
0.5000 0.5000 0.0000
0.1455 0.7500 0.1680
0.3545 0.2500 0.6680
0.6455 0.7500 0.3320
0.8545 0.2500 0.8320
0.0169 0.7500 0.0274
0.1088 0.7500 0.5909
0.1390 0.5376 0.2854
0.1390 0.9624 0.2854
0.1618 0.2500 0.5901
0.3382 0.7500 0.0901
0.3610 0.0376 0.7854
0.3610 0.4624 0.7854
0.3912 0.2500 0.0909
0.4831 0.2500 0.5274
0.5169 0.7500 0.4726
0.6088 0.7500 0.9091
0.6390 0.5376 0.2146
0.6390 0.9624 0.2146
0.6618 0.2500 0.9099
0.8382 0.7500 0.4099
0.8610 0.0376 0.7146
0.8610 0.4624 0.7146
0.8912 0.2500 0.4091
0.9831 0.2500 0.9726
```

Principal peaks in the range 2θ from 15° to 90°, sorted by position:
two_theta	Rel. int.	index
16.12	100	1 0 1
18.68	40	0 1 1
22.89	34	2 0 0
25.62	55	2 0 1
27.38	19	2 1 0
32.57	43	2 0 2
34.08	56	1 2 1
39.69	30	1 2 2
47.88	24	3 2 1
59.08	27	3 2 3